[1]
Theoretical powder diffraction line list of PmTm2Te4 for CuKα, from a crystal structure in Alexandria, relaxed with GGA-PBE.

The 12 most intense peaks (10° ≤ 2θ ≤ 90°), by intensity:
two_theta	Rel. int.
28.9	100
41.8	55
29.3	48
41.4	38
51.8	20
40.8	19
68.4	17
12.3	16
59.8	13
24.0	11
50.7	10
51.4	10

Unit cell a=7.481 b=4.330 c=7.578 alpha=90.00 beta=108.08 gamma=90.00
Element x y z (fractional)
Pm 0.000 0.000 0.000
Tm 0.000 0.500 0.500
Tm 0.500 0.000 0.500
Te 0.250 0.000 0.742
Te 0.264 0.500 0.253
Te 0.736 0.500 0.747
Te 0.750 0.000 0.258


[2]
Theoretical powder diffraction line list of MgZnBi2 for CuKα, from a crystal structure in Alexandria, relaxed with GGA-PBE.

The 12 most intense peaks (10° ≤ 2θ ≤ 90°), by intensity:
two_theta	Rel. int.
22.9	100
33.7	80
22.0	66
39.1	42
40.0	29
28.6	28
29.3	28
41.1	28
40.8	24
46.8	19
60.9	19
70.8	17

Unit cell a=8.650 b=4.424 c=6.668 alpha=90.00 beta=110.64 gamma=90.00
Element x y z (fractional)
Mg 0.000 0.000 0.000
Mg 0.500 0.500 0.000
Zn 0.461 0.500 0.512
Zn 0.961 0.000 0.512
Bi 0.307 0.000 0.676
Bi 0.357 0.000 0.206
Bi 0.807 0.500 0.676
Bi 0.857 0.500 0.206


[3]
Theoretical powder diffraction line list of DyPd6Au23 for CuKα, from a crystal structure in Alexandria, relaxed with GGA-PBE.

The 12 most intense peaks (10° ≤ 2θ ≤ 90°), by intensity:
two_theta	Rel. int.
38.0	100
44.5	32
77.6	26
64.1	22
43.7	17
76.5	13
81.4	11
64.7	11
24.3	8
21.5	3
31.0	3
39.4	3

Unit cell a=10.092 b=10.092 c=10.092 alpha=132.37 beta=132.37 gamma=69.65
Element x y z (fractional)
Dy 0.000 0.000 0.000
Pd 0.248 0.248 0.496
Pd 0.248 0.752 0.000
Pd 0.249 0.249 0.000
Pd 0.751 0.751 0.000
Pd 0.752 0.248 0.000
Pd 0.752 0.752 0.504
Au 0.000 0.000 0.500
Au 0.000 0.500 0.000
Au 0.000 0.500 0.500
Au 0.125 0.374 0.751
Au 0.127 0.871 0.256
Au 0.129 0.385 0.256
Au 0.129 0.873 0.744
Au 0.374 0.125 0.751
Au 0.374 0.623 0.249
Au 0.377 0.626 0.751
Au 0.385 0.129 0.256
Au 0.500 0.000 0.000
Au 0.500 0.000 0.500
Au 0.500 0.500 0.000
Au 0.500 0.500 0.500
Au 0.615 0.871 0.744
Au 0.623 0.374 0.249
Au 0.626 0.377 0.751
Au 0.626 0.875 0.249
Au 0.871 0.127 0.256
Au 0.871 0.615 0.744
Au 0.873 0.129 0.744
Au 0.875 0.626 0.249


Repeat the first record exactly.
Theoretical powder diffraction line list of PmTm2Te4 for CuKα, from a crystal structure in Alexandria, relaxed with GGA-PBE.

The 12 most intense peaks (10° ≤ 2θ ≤ 90°), by intensity:
two_theta	Rel. int.
28.9	100
41.8	55
29.3	48
41.4	38
51.8	20
40.8	19
68.4	17
12.3	16
59.8	13
24.0	11
50.7	10
51.4	10

Unit cell a=7.481 b=4.330 c=7.578 alpha=90.00 beta=108.08 gamma=90.00
Element x y z (fractional)
Pm 0.000 0.000 0.000
Tm 0.000 0.500 0.500
Tm 0.500 0.000 0.500
Te 0.250 0.000 0.742
Te 0.264 0.500 0.253
Te 0.736 0.500 0.747
Te 0.750 0.000 0.258


Question: Number 3 is which compound?
Answer: DyPd6Au23